Structure and theoretical XRD peak list of Ho5Cd2O2 (a structure optimized by DFT (PBE); Cu Kα).
Intensities are scaled so that the largest is 100.

Structure:
```
Ho5Cd2O2
1.0
-3.4111 8.7816 3.4849
3.4111 -8.7816 3.4849
3.4111 8.7816 -3.4849
Ho Cd O
10 4 4
direct
0.0000 0.0000 0.5000
0.0000 0.5000 0.0000
0.2103 0.0745 0.1358
0.2331 0.0000 0.7331
0.2331 0.5000 0.2331
0.4387 0.0745 0.3642
0.5613 0.9255 0.6358
0.7669 0.0000 0.2669
0.7669 0.5000 0.7669
0.7897 0.9255 0.8642
0.1213 0.4942 0.6271
0.3671 0.4942 0.8729
0.6329 0.5058 0.1271
0.8787 0.5058 0.3729
0.0000 0.0000 0.0000
0.2104 0.9604 0.2500
0.5000 0.0000 0.5000
0.7896 0.0396 0.7500
```

Main lines, in order of rising 2θ (2θ = 15–90°):
- 2θ 28.5, rel. 34
- 2θ 29.6, rel. 26
- 2θ 32.8, rel. 78
- 2θ 33.3, rel. 100
- 2θ 36.9, rel. 72
- 2θ 41.1, rel. 26
- 2θ 53.7, rel. 16
- 2θ 54.5, rel. 20
- 2θ 56.4, rel. 30
- 2θ 64.4, rel. 23

=====

Structure and theoretical XRD peak list of Pm3Nd2Tm6 (a structure optimized by DFT (PBE); Cu Kα).
Intensities are scaled so that the largest is 100.

Structure:
```
Pm3Nd2Tm6
1.0
3.0650 -5.3159 0.0000
3.0650 5.3159 0.0000
-2.0507 0.0000 11.4431
Pm Nd Tm
3 2 6
direct
0.0000 0.0000 0.0000
0.3358 0.6642 0.0000
0.6642 0.3358 0.0000
0.1667 0.8333 0.5000
0.8333 0.1667 0.5000
0.0835 0.4165 0.2497
0.2507 0.2507 0.7504
0.4165 0.0835 0.2497
0.5835 0.9165 0.7503
0.7493 0.7493 0.2496
0.9165 0.5835 0.7503
```

Main lines, in order of rising 2θ (2θ = 15–90°):
- 2θ 31.0, rel. 100
- 2θ 31.3, rel. 32
- 2θ 36.0, rel. 67
- 2θ 51.6, rel. 24
- 2θ 52.0, rel. 23
- 2θ 61.4, rel. 14
- 2θ 61.6, rel. 28
- 2θ 62.0, rel. 14
- 2θ 64.5, rel. 12
- 2θ 84.3, rel. 8

=====

Structure and theoretical XRD peak list of AcNdY2Er (a structure optimized by DFT (PBE); Cu Kα).
Intensities are scaled so that the largest is 100.

Structure:
```
AcNdY2Er
1.0
3.2636 -8.8113 0.0000
3.2636 8.8113 0.0000
0.0000 0.0000 6.4746
Ac Nd Y Er
2 2 4 2
direct
0.1596 0.8404 0.7500
0.8404 0.1596 0.2500
0.3461 0.6539 0.7500
0.6539 0.3461 0.2500
0.2535 0.2535 0.0000
0.2535 0.2535 0.5000
0.7465 0.7465 0.0000
0.7465 0.7465 0.5000
0.2610 0.7390 0.2500
0.7390 0.2610 0.7500
```

Main lines, in order of rising 2θ (2θ = 15–90°):
- 2θ 20.0, rel. 24
- 2θ 24.6, rel. 38
- 2θ 27.3, rel. 17
- 2θ 29.2, rel. 59
- 2θ 29.4, rel. 58
- 2θ 32.0, rel. 100
- 2θ 39.2, rel. 56
- 2θ 40.9, rel. 26
- 2θ 51.3, rel. 27
- 2θ 51.6, rel. 27

=====

Structure and theoretical XRD peak list of Pm2TmCd2 (a structure optimized by DFT (PBE); Cu Kα).
Intensities are scaled so that the largest is 100.

Structure:
```
Pm2TmCd2
1.0
3.7416 0.0000 0.0000
0.0000 5.3514 0.0000
-1.8683 0.0000 14.0960
Pm Tm Cd
4 2 4
direct
0.0443 0.2500 0.0876
0.2338 0.2500 0.4694
0.7662 0.7500 0.5306
0.9557 0.7500 0.9124
0.1502 0.7500 0.2997
0.8498 0.2500 0.7003
0.3613 0.7500 0.7223
0.4419 0.2500 0.8842
0.5581 0.7500 0.1158
0.6387 0.2500 0.2777
```

Main lines, in order of rising 2θ (2θ = 15–90°):
- 2θ 31.7, rel. 22
- 2θ 33.3, rel. 100
- 2θ 33.5, rel. 27
- 2θ 36.0, rel. 8
- 2θ 46.8, rel. 15
- 2θ 48.7, rel. 9
- 2θ 57.5, rel. 10
- 2θ 59.7, rel. 18
- 2θ 60.4, rel. 10
- 2θ 69.8, rel. 9